# Mn4O7F
Computed powder X-ray diffraction pattern, a wavelength of 1.5418 Å. Input: a structure optimized by DFT (GGA+U).
Intensities are scaled so that the largest is 100.

Main lines, by angle (10 to 80 degrees two-theta):
Position (°2θ)	I/Imax
25.3	61
26.0	55
31.2	99
31.8	100
36.2	23
37.4	46
55.3	48
55.4	40
56.9	39
65.9	33

Structural model:
Cell: 6.6832 6.6832 6.9892 Å, 114.44 114.44 95.95°
Positions (direct):
Mn1 0.0024 0.9976 0.5000
Mn2 0.0915 0.5976 0.1931
Mn3 0.1006 0.5871 0.6884
Mn4 0.4735 0.4816 0.4746
Mn5 0.4816 0.4735 0.9746
Mn6 0.5871 0.1006 0.1884
Mn7 0.5976 0.0915 0.6931
Mn8 0.9976 0.0024 0.0000
O1 0.0152 0.6876 0.4489
O2 0.0481 0.8852 0.2204
O3 0.1574 0.3378 0.2281
O4 0.1856 0.5076 0.9414
O5 0.2487 0.9190 0.9474
O6 0.3378 0.1574 0.7281
O7 0.3927 0.5639 0.7270
O8 0.4208 0.7499 0.4441
O9 0.5076 0.1856 0.4414
O10 0.5639 0.3927 0.2270
O11 0.6876 0.0152 0.9489
O12 0.7499 0.4208 0.9441
O13 0.8852 0.0481 0.7204
O14 0.9190 0.2487 0.4474
F1 0.6394 0.8205 0.2129
F2 0.8205 0.6394 0.7129